[1]
Simulated XRD peak list of MnSb2F12 for Cu Kα (weighted mean of Kα1 and Kα2), from DFT lattice parameters and positions (GGA+U).
Kinematic intensities with the Lorentz-polarization factor, no thermal factor.

Most intense lines, 2θ = 5–70°, in order of falling intensity:
- 20.1 deg, rel. 100
- 22.5 deg, rel. 99
- 22.9 deg, rel. 96
- 23.1 deg, rel. 90
- 18.6 deg, rel. 61
- 38.8 deg, rel. 55
- 31.5 deg, rel. 51
- 20.2 deg, rel. 46

Cell and atoms:
Lattice parameters (Å, degrees): 5.361 5.659 9.263 73.78 88.70 62.22
Space group P-1 (No. 2)
Unique sites:
Mn 0.000 0.000 0.000
Sb 0.274 0.504 0.741
F 0.018 0.275 0.422
F 0.040 0.721 0.873
F 0.099 0.263 0.818
F 0.448 0.739 0.074
F 0.449 0.734 0.707
F 0.479 0.744 0.360



[2]
Simulated XRD peak list of LiMnF4 for Cu Kα (weighted mean of Kα1 and Kα2), from DFT lattice parameters and positions (GGA+U).
Kinematic intensities with the Lorentz-polarization factor, no thermal factor.

Most intense lines, 2θ = 5–70°, in order of falling intensity:
- 19.1 deg, rel. 100
- 39.1 deg, rel. 69
- 26.6 deg, rel. 36
- 52.0 deg, rel. 29
- 27.8 deg, rel. 27
- 44.5 deg, rel. 26
- 67.4 deg, rel. 22
- 34.3 deg, rel. 20

Cell and atoms:
Lattice parameters (Å, degrees): 6.418 6.706 3.172 90.00 90.00 90.00
Space group Pmmn (No. 59, origin choice 2)
Unique sites:
Li 0.250 0.250 0.017
Mn 0.250 0.750 0.503
F 0.038 0.250 0.501
F 0.250 0.558 0.004



[3]
Simulated XRD peak list of LiMnS2O8 for Cu Kα (weighted mean of Kα1 and Kα2), from DFT lattice parameters and positions (GGA+U).
Kinematic intensities with the Lorentz-polarization factor, no thermal factor.

Most intense lines, 2θ = 5–70°, in order of falling intensity:
- 24.0 deg, rel. 100
- 24.0 deg, rel. 71
- 24.6 deg, rel. 57
- 19.9 deg, rel. 52
- 14.4 deg, rel. 48
- 14.7 deg, rel. 46
- 14.2 deg, rel. 42
- 31.6 deg, rel. 41

Cell and atoms:
Lattice parameters (Å, degrees): 8.336 8.405 8.960 117.34 91.26 118.79
Space group P1 (No. 1)
Unique sites:
Li 0.000 0.000 0.000
Li 0.083 0.484 0.307
Li 0.412 0.234 0.313
Mn 0.300 0.584 0.872
Mn 0.508 0.995 0.486
Mn 0.804 0.613 0.403
S 0.117 0.792 0.183
S 0.196 0.799 0.688
S 0.403 0.497 0.188
S 0.607 0.511 0.696
S 0.697 0.098 0.199
S 0.901 0.088 0.687
O 0.003 0.637 0.234
O 0.008 0.619 0.529
O 0.021 0.290 0.694
O 0.033 0.901 0.169
O 0.148 0.674 0.014
O 0.158 0.909 0.845
O 0.275 0.676 0.697
O 0.290 0.291 0.176
O 0.315 0.973 0.326
O 0.326 0.948 0.636
O 0.354 0.471 0.016
O 0.358 0.647 0.323
O 0.405 0.437 0.712
O 0.552 0.907 0.030
O 0.599 0.531 0.538
O 0.615 0.589 0.241
O 0.628 0.332 0.652
O 0.655 0.271 0.248
O 0.684 0.048 0.340
O 0.691 0.009 0.638
O 0.753 0.708 0.855
O 0.893 0.180 0.189
O 0.931 0.928 0.540
O 0.945 0.104 0.852



[4]
Simulated XRD peak list of Li3FeF5 for Cu Kα (weighted mean of Kα1 and Kα2), from DFT lattice parameters and positions (GGA+U).
Kinematic intensities with the Lorentz-polarization factor, no thermal factor.

Most intense lines, 2θ = 5–70°, in order of falling intensity:
- 15.4 deg, rel. 100
- 17.4 deg, rel. 79
- 38.6 deg, rel. 69
- 23.3 deg, rel. 67
- 44.5 deg, rel. 54
- 46.7 deg, rel. 46
- 42.8 deg, rel. 41
- 50.8 deg, rel. 32

Cell and atoms:
Lattice parameters (Å, degrees): 5.758 5.758 11.066 90.00 90.00 90.00
Space group P4_1 (No. 76)
Unique sites:
Li 0.015 0.169 0.000
Li 0.086 0.325 0.525
Li 0.211 0.442 0.290
Fe 0.287 0.491 0.822
F 0.013 0.774 0.855
F 0.026 0.745 0.322
F 0.158 0.578 0.648
F 0.201 0.484 0.009
F 0.374 0.442 0.448



[5]
Simulated XRD peak list of MgFe6O7F5 for Cu Kα (weighted mean of Kα1 and Kα2), from DFT lattice parameters and positions (GGA+U).
Kinematic intensities with the Lorentz-polarization factor, no thermal factor.

Most intense lines, 2θ = 5–70°, in order of falling intensity:
- 24.2 deg, rel. 100
- 26.9 deg, rel. 84
- 49.5 deg, rel. 37
- 34.8 deg, rel. 28
- 34.5 deg, rel. 27
- 35.1 deg, rel. 24
- 49.3 deg, rel. 24
- 34.8 deg, rel. 23

Cell and atoms:
Lattice parameters (Å, degrees): 4.951 5.816 7.805 82.16 87.07 84.22
Space group P1 (No. 1)
Unique sites:
Mg 0.000 0.000 0.000
Fe 0.020 0.200 0.355
Fe 0.023 0.802 0.625
Fe 0.032 0.491 0.002
Fe 0.479 0.661 0.294
Fe 0.493 0.016 0.999
Fe 0.548 0.334 0.688
O 0.202 0.206 0.117
O 0.218 0.536 0.763
O 0.228 0.877 0.419
O 0.270 0.722 0.085
O 0.742 0.273 0.898
O 0.799 0.465 0.228
O 0.808 0.113 0.566
F 0.273 0.045 0.774
F 0.313 0.384 0.440
F 0.718 0.614 0.558
F 0.736 0.936 0.212
F 0.800 0.790 0.883



[6]
Simulated XRD peak list of Ca2MgFeC4O12 for Cu Kα (weighted mean of Kα1 and Kα2), from DFT lattice parameters and positions (GGA+U).
Kinematic intensities with the Lorentz-polarization factor, no thermal factor.

Most intense lines, 2θ = 5–70°, in order of falling intensity:
- 30.4 deg, rel. 100
- 30.5 deg, rel. 49
- 49.5 deg, rel. 20
- 44.4 deg, rel. 16
- 40.4 deg, rel. 16
- 50.1 deg, rel. 16
- 36.8 deg, rel. 14
- 23.7 deg, rel. 12

Cell and atoms:
Lattice parameters (Å, degrees): 7.795 7.846 7.855 77.13 77.24 76.85
Space group P1 (No. 1)
Unique sites:
Ca 0.000 0.000 0.000
Ca 0.005 0.493 0.501
Ca 0.500 0.000 0.500
Ca 0.505 0.493 0.001
Mg 0.001 0.498 0.002
Mg 0.501 0.498 0.502
Fe 0.004 0.995 0.499
Fe 0.505 0.994 0.999
C 0.245 0.738 0.747
C 0.249 0.241 0.240
C 0.257 0.256 0.759
C 0.260 0.751 0.256
C 0.745 0.738 0.247
C 0.749 0.242 0.741
C 0.757 0.255 0.259
C 0.760 0.752 0.756
O 0.115 0.379 0.776
O 0.119 0.726 0.886
O 0.120 0.878 0.265
O 0.127 0.229 0.382
O 0.232 0.380 0.115
O 0.233 0.880 0.623
O 0.271 0.112 0.879
O 0.273 0.614 0.384
O 0.381 0.272 0.618
O 0.385 0.613 0.732
O 0.385 0.759 0.116
O 0.391 0.117 0.227
O 0.615 0.378 0.276
O 0.619 0.726 0.386
O 0.619 0.879 0.766
O 0.626 0.230 0.882
O 0.732 0.381 0.615
O 0.734 0.880 0.124
O 0.772 0.112 0.380
O 0.772 0.615 0.884
O 0.881 0.272 0.119
O 0.884 0.760 0.616
O 0.885 0.612 0.232
O 0.891 0.118 0.728



[7]
Simulated XRD peak list of Li7Co5O12 for Cu Kα (weighted mean of Kα1 and Kα2), from DFT lattice parameters and positions (GGA+U).
Kinematic intensities with the Lorentz-polarization factor, no thermal factor.

Most intense lines, 2θ = 5–70°, in order of falling intensity:
- 18.7 deg, rel. 100
- 44.3 deg, rel. 53
- 36.6 deg, rel. 26
- 44.7 deg, rel. 26
- 64.3 deg, rel. 21
- 65.3 deg, rel. 14
- 13.8 deg, rel. 13
- 37.0 deg, rel. 12

Cell and atoms:
Lattice parameters (Å, degrees): 12.548 8.657 9.653 90.00 129.19 90.00
Space group C2 (No. 5)
Unique sites:
Li 0.000 0.000 0.000
Li 0.000 0.499 0.500
Li 0.124 0.503 0.869
Li 0.126 0.002 0.372
Li 0.126 0.169 0.879
Li 0.127 0.340 0.382
Li 0.127 0.663 0.379
Li 0.128 0.839 0.884
Co 0.000 0.174 0.500
Co 0.000 0.338 0.000
Co 0.000 0.677 0.000
Co 0.000 0.832 0.500
Co 0.248 0.164 0.251
Co 0.249 0.336 0.748
Co 0.249 0.506 0.248
O 0.065 0.010 0.675
O 0.066 0.513 0.174
O 0.067 0.320 0.677
O 0.067 0.822 0.179
O 0.076 0.180 0.187
O 0.079 0.680 0.693
O 0.180 0.349 0.066
O 0.184 0.169 0.577
O 0.185 0.672 0.077
O 0.192 0.841 0.581
O 0.193 0.495 0.575
O 0.196 0.999 0.085



What did the fifth record say?
Simulated XRD peak list of MgFe6O7F5 for Cu Kα (weighted mean of Kα1 and Kα2), from DFT lattice parameters and positions (GGA+U).
Kinematic intensities with the Lorentz-polarization factor, no thermal factor.

Most intense lines, 2θ = 5–70°, in order of falling intensity:
- 24.2 deg, rel. 100
- 26.9 deg, rel. 84
- 49.5 deg, rel. 37
- 34.8 deg, rel. 28
- 34.5 deg, rel. 27
- 35.1 deg, rel. 24
- 49.3 deg, rel. 24
- 34.8 deg, rel. 23

Cell and atoms:
Lattice parameters (Å, degrees): 4.951 5.816 7.805 82.16 87.07 84.22
Space group P1 (No. 1)
Unique sites:
Mg 0.000 0.000 0.000
Fe 0.020 0.200 0.355
Fe 0.023 0.802 0.625
Fe 0.032 0.491 0.002
Fe 0.479 0.661 0.294
Fe 0.493 0.016 0.999
Fe 0.548 0.334 0.688
O 0.202 0.206 0.117
O 0.218 0.536 0.763
O 0.228 0.877 0.419
O 0.270 0.722 0.085
O 0.742 0.273 0.898
O 0.799 0.465 0.228
O 0.808 0.113 0.566
F 0.273 0.045 0.774
F 0.313 0.384 0.440
F 0.718 0.614 0.558
F 0.736 0.936 0.212
F 0.800 0.790 0.883